Starting from a crystal structure in Alexandria, relaxed with PBE+U, the powder diffraction line list of Na2Li2NiF6 was computed for λ = 1.5418 Å (Cu Kα).
Lines closer than 0.1° are merged.

The 10 most intense peaks (15° ≤ 2θ ≤ 90°), by intensity:
Position (°2θ)	I_rel
26.0	100
49.1	74
38.8	45
62.6	27
16.5	25
44.0	23
57.4	20
19.9	16
34.9	14
83.3	12

Structure:
Unit cell a=5.1431 b=5.1431 c=5.3674 alpha=90.00 beta=90.00 gamma=120.00
Fractional positions:
Na1 0.3333 0.6667 0.0000
Na2 0.6667 0.3333 0.0000
Li1 0.3333 0.6667 0.5000
Li2 0.6667 0.3333 0.5000
Ni1 0.0000 0.0000 0.5000
F1 0.0000 0.3343 0.2918
F2 0.0000 0.6657 0.7082
F3 0.3343 0.0000 0.2918
F4 0.3343 0.3343 0.7082
F5 0.6657 0.0000 0.7082
F6 0.6657 0.6657 0.2918